(1)
Ac6La2Hg: theoretical X-ray diffraction stick pattern (Cu Kα), based on DFT lattice parameters and positions (GGA-PBE).

Structural model:
```
Ac6La2Hg
1.0
10.2972 0.0000 0.0000
-5.1486 8.9177 0.0000
0.0000 0.0000 4.0235
Ac La Hg
6 2 1
Cartesian
-1.9865 3.4407 0.0000
-3.7897 6.5640 2.0117
1.3589 2.3536 2.0117
3.9730 0.0000 0.0000
3.1621 5.4770 0.0000
7.5795 0.0000 2.0117
0.0000 5.9451 2.0117
5.1486 2.9725 2.0117
0.0000 0.0000 0.0000
```

Most intense lines, 10 to 90 degrees two-theta, by angle:
d [Å]	I (rel.)
3.371	523
3.170	1000
2.987	602
2.973	696
2.584	320
2.012	156
1.824	446
1.727	161
1.666	261
1.631	128


(2)
Ac3La12Hg: theoretical X-ray diffraction stick pattern (Cu Kα), based on DFT lattice parameters and positions (GGA-PBE).

Structural model:
```
Ac3La12Hg
1.0
5.2820 0.0000 0.0000
0.0000 5.2820 0.0000
0.0000 0.0000 20.9993
Ac La Hg
3 12 1
Cartesian
0.0000 0.0000 0.0000
0.0000 0.0000 5.4249
0.0000 0.0000 15.5744
0.0000 2.6410 2.7034
0.0000 2.6410 8.0707
0.0000 2.6410 12.9286
0.0000 2.6410 18.2959
2.6410 0.0000 2.7034
2.6410 0.0000 8.0707
2.6410 0.0000 12.9286
2.6410 0.0000 18.2959
2.6410 2.6410 0.0000
2.6410 2.6410 5.4488
2.6410 2.6410 10.4997
2.6410 2.6410 15.5505
0.0000 0.0000 10.4997
```

Most intense lines, 10 to 90 degrees two-theta, by angle:
d [Å]	I (rel.)
3.043	1000
2.641	351
2.625	155
1.867	127
1.862	226
1.592	297
1.585	123
1.522	117
1.211	60
1.208	98


(3)
AcLa14Hg: theoretical X-ray diffraction stick pattern (Cu Kα), based on DFT lattice parameters and positions (GGA-PBE).

Structural model:
```
AcLa14Hg
1.0
10.4567 0.0000 0.0000
0.0000 5.2107 5.2127
0.0000 -5.2107 5.2127
Ac La Hg
1 14 1
Cartesian
0.0000 0.0000 0.0000
0.0000 -2.5076 7.7881
0.0000 2.5076 7.7881
2.4885 0.0000 2.7262
2.5651 -2.5041 5.2200
2.5651 2.5041 5.2200
2.6449 0.0000 7.7336
5.2284 0.0000 0.0317
5.2284 -2.5493 2.6077
5.2284 2.5493 2.6077
5.2284 0.0000 5.2034
7.8119 0.0000 7.7336
7.8916 -2.5041 5.2200
7.8916 2.5041 5.2200
7.9683 0.0000 2.7262
0.0000 0.0000 5.2212
```

Most intense lines, 10 to 90 degrees two-theta, by angle:
d [Å]	I (rel.)
3.012	1000
2.614	170
2.606	336
1.845	357
1.575	142
1.572	279
1.506	121
1.197	111
1.196	55
1.166	101


(4)
Ac2La6Hg: theoretical X-ray diffraction stick pattern (Cu Kα), based on DFT lattice parameters and positions (GGA-PBE).

Structural model:
```
Ac2La6Hg
1.0
3.9309 0.0000 0.0000
0.0000 8.6475 4.9941
0.0000 -8.6475 4.9941
Ac La Hg
2 6 1
Cartesian
0.0000 -5.7632 4.9941
0.0000 5.7632 4.9941
0.0000 -2.2698 3.6836
0.0000 2.2698 3.6836
0.0000 0.0000 7.6221
1.9654 0.0000 1.2566
1.9654 -3.2348 6.8627
1.9654 3.2348 6.8627
1.9654 0.0000 4.9996
```

Most intense lines, 10 to 90 degrees two-theta, by angle:
d [Å]	I (rel.)
4.993	223
3.269	331
3.089	816
2.909	701
2.883	1000
2.513	596
1.965	173
1.771	450
1.701	162
1.624	369


(5)
AcLa6Hg: theoretical X-ray diffraction stick pattern (Cu Kα), based on DFT lattice parameters and positions (GGA-PBE).

Structural model:
```
AcLa6Hg
1.0
6.6582 0.0000 0.0000
-0.8759 6.6038 0.0000
-0.8852 -0.9871 6.5292
Ac La Hg
1 6 1
Cartesian
0.0000 0.0000 0.0000
-0.3880 1.2303 3.6301
1.2555 3.6244 0.3346
1.4777 5.5434 4.7734
3.4194 0.0733 1.7558
3.6416 1.9923 6.1945
5.2851 4.3864 2.8991
2.4486 2.8084 3.2646
```

Most intense lines, 10 to 90 degrees two-theta, by angle:
d [Å]	I (rel.)
3.303	177
3.264	472
3.113	745
2.892	491
2.757	320
2.735	1000
2.382	205
1.976	210
1.893	282
1.557	198


(6)
Ac2LaHgN: theoretical X-ray diffraction stick pattern (Cu Kα), based on DFT lattice parameters and positions (GGA-PBE).

Structural model:
```
Ac2LaHgN
1.0
-3.7496 3.7496 5.1831
3.7496 -3.7496 5.1831
3.7496 3.7496 -5.1831
Ac La Hg N
4 2 2 2
Cartesian
5.2642 1.5146 0.0000
1.5146 2.2350 0.0000
2.2350 1.5146 5.1831
-1.5146 2.2350 5.1831
0.0000 0.0000 2.5916
0.0000 0.0000 7.7747
3.7496 0.0000 2.5916
0.0000 3.7496 2.5916
0.0000 0.0000 0.0000
0.0000 0.0000 5.1831
```

Most intense lines, 10 to 90 degrees two-theta, by angle:
d [Å]	I (rel.)
3.191	275
3.038	1000
2.651	313
2.592	218
2.407	130
1.853	221
1.791	148
1.609	105
1.595	135
1.569	147


(7)
AcLaHgO2: theoretical X-ray diffraction stick pattern (Cu Kα), based on DFT lattice parameters and positions (GGA-PBE).

Structural model:
```
AcLaHgO2
1.0
-2.1191 2.1191 6.7144
2.1191 -2.1191 6.7144
2.1191 2.1191 -6.7144
Ac La Hg O
1 1 1 2
Cartesian
0.0000 0.0000 0.0000
0.0000 0.0000 9.1263
0.0000 0.0000 4.6061
2.1191 0.0000 1.2982
0.0000 2.1191 1.2982
```

Most intense lines, 10 to 90 degrees two-theta, by angle:
d [Å]	I (rel.)
3.078	1000
2.997	414
2.238	99
2.119	202
1.793	232
1.745	399
1.539	116
1.172	110
1.150	110
1.137	103


(8)
AcLaHgPb: theoretical X-ray diffraction stick pattern (Cu Kα), based on DFT lattice parameters and positions (GGA-PBE).

Structural model:
```
AcLaHgPb
1.0
4.0543 0.0000 0.0000
0.0000 4.0543 0.0000
0.0000 0.0000 7.9933
Ac La Hg Pb
1 1 1 1
Cartesian
0.0000 0.0000 0.0000
0.0000 0.0000 4.0897
2.0271 2.0271 5.9416
2.0271 2.0271 2.1311
```

Most intense lines, 10 to 90 degrees two-theta, by angle:
d [Å]	I (rel.)
2.867	517
2.846	1000
2.027	196
1.998	89
1.651	408
1.639	191
1.423	120
1.282	91
1.280	89
1.266	78


(9)
Li6AcHg2: theoretical X-ray diffraction stick pattern (Cu Kα), based on DFT lattice parameters and positions (GGA-PBE).

Structural model:
```
Li6AcHg2
1.0
4.3234 0.0000 0.0000
0.0000 4.3234 0.0000
0.0000 0.0000 11.0420
Li Ac Hg
6 1 2
Cartesian
0.0000 0.0000 0.0000
0.0000 2.1617 2.1550
0.0000 2.1617 8.8870
2.1617 0.0000 2.1550
2.1617 0.0000 8.8870
2.1617 2.1617 0.0000
0.0000 0.0000 5.5210
2.1617 2.1617 3.8567
2.1617 2.1617 7.1853
```

Most intense lines, 10 to 90 degrees two-theta, by angle:
d [Å]	I (rel.)
3.404	546
3.057	643
2.946	637
2.803	1000
2.327	483
2.162	284
2.121	243
1.712	479
1.584	299
1.402	225


(10)
LiAc2Hg2: theoretical X-ray diffraction stick pattern (Cu Kα), based on DFT lattice parameters and positions (GGA-PBE).

Structural model:
```
LiAc2Hg2
1.0
-3.4780 6.9355 3.3214
3.4780 -6.9355 3.3214
3.4780 6.9355 -3.3214
Li Ac Hg
2 4 4
Cartesian
0.0000 0.0000 1.6607
0.0000 0.0000 4.9821
4.7804 2.0501 0.0000
1.3024 4.8854 0.0000
2.1756 2.0501 3.3214
-1.3024 4.8854 3.3214
1.4302 1.5419 0.0000
1.4302 -1.5419 3.3214
2.0478 8.4773 0.0000
2.0478 5.3936 3.3214
```

Most intense lines, 10 to 90 degrees two-theta, by angle:
d [Å]	I (rel.)
3.472	1000
3.321	648
3.008	431
2.812	299
2.456	287
2.400	783
1.975	296
1.670	181
1.631	188
1.498	180


(11)
Li15Ac6Hg8: theoretical X-ray diffraction stick pattern (Cu Kα), based on DFT lattice parameters and positions (GGA-PBE).

Structural model:
```
Li15Ac6Hg8
1.0
0.0000 7.0722 7.0722
7.0722 0.0000 7.0722
7.0722 7.0722 0.0000
Li Ac Hg
15 6 8
Cartesian
0.0000 0.0000 0.0000
3.5361 3.5361 0.0000
3.5361 0.0000 3.5361
7.0722 3.5361 3.5361
4.5651 2.5071 2.5071
2.5071 4.5651 2.5071
2.5071 2.5071 4.5651
4.5651 4.5651 4.5651
0.0000 3.5361 3.5361
3.5361 7.0722 3.5361
3.5361 3.5361 7.0722
9.5793 9.5793 9.5793
11.6373 11.6373 9.5793
11.6373 9.5793 11.6373
9.5793 11.6373 11.6373
7.0722 7.0722 4.0556
7.0722 4.0556 7.0722
10.0888 7.0722 7.0722
4.0556 7.0722 7.0722
7.0722 10.0888 7.0722
7.0722 7.0722 10.0888
1.8390 1.8390 1.8390
5.2332 5.2332 1.8390
5.2332 1.8390 5.2332
12.3054 8.9112 8.9112
1.8390 5.2332 5.2332
8.9112 12.3054 8.9112
8.9112 8.9112 12.3054
12.3054 12.3054 12.3054
```

Most intense lines, 10 to 90 degrees two-theta, by angle:
d [Å]	I (rel.)
4.265	269
4.083	463
3.245	718
2.722	414
2.500	1000
1.981	161
1.768	144
1.728	329
1.444	217
1.422	155


(12)
LiAc2Hg2: theoretical X-ray diffraction stick pattern (Cu Kα), based on DFT lattice parameters and positions (GGA-PBE).

Structural model:
```
LiAc2Hg2
1.0
8.7604 0.0000 0.0000
0.0000 9.3485 0.0000
-1.3597 0.0000 7.6283
Li Ac Hg
4 8 8
Cartesian
0.6148 0.3977 1.1495
-0.0651 4.2765 4.9637
7.4657 5.0720 2.6646
6.7859 8.9508 6.4787
1.1034 1.0281 4.8662
1.7832 3.6462 1.0521
2.5841 6.6299 3.5959
1.9042 7.3928 7.4100
5.4964 1.9556 0.2182
4.8166 2.7186 4.0324
5.6175 5.7023 6.5762
6.2973 8.3204 2.7621
0.2370 6.9812 1.2077
-0.4428 7.0415 5.0218
3.1833 0.4510 2.1588
2.5035 4.2233 5.9730
4.8972 5.1252 1.6553
4.2173 8.8975 5.4694
7.8435 2.3070 2.6065
7.1636 2.3673 6.4206
```

Most intense lines, 10 to 90 degrees two-theta, by angle:
d [Å]	I (rel.)
3.498	543
3.279	414
3.096	408
2.980	1000
2.931	595
2.920	285
2.792	242
2.748	308
2.736	337
2.455	238